Calculated PXRD pattern of HoMgPd3 for Cu Kα, from a crystal structure in Alexandria, relaxed with PBE.
No peak broadening, texture or thermal motion is included.

Cell and atoms:
```
HoMgPd3
1.0
6.020 -3.911 0.000
6.020 3.911 0.000
-0.263 0.000 8.783
Ho Mg Pd
4 4 12
Cartesian
3.010 1.956 0.000
5.823 2.653 6.587
2.879 -1.956 4.391
5.955 -2.653 2.196
4.498 2.315 3.295
7.411 2.315 1.097
4.367 -2.315 7.686
7.280 -2.315 5.488
2.395 0.398 2.913
3.779 0.741 5.387
2.264 -0.398 7.305
5.041 0.351 7.740
3.911 -0.741 0.996
5.173 -0.351 3.348
6.605 0.351 5.434
7.867 0.741 7.787
6.736 -0.351 1.043
9.514 0.398 1.478
7.999 -0.741 3.396
9.383 -0.398 5.869
```

Most intense lines, 2θ from 5° to 70°, by angle:
Position (°2θ)	intensity
13.50	33.9
16.74	35.1
17.00	73.4
33.31	32.6
36.68	100.0
40.83	42.4
42.45	40.4
43.24	32.5
43.62	32.0
43.90	36.3